Starting from a cell relaxed with GGA-PBE, the XRD peak list of LaErSe2 was simulated for Cu Ka.

Main lines, by angle (10° ≤ 2θ ≤ 90°):
- d = 3.374 Å, intensity 13.6
- d = 2.949 Å, intensity 100.0
- d = 2.114 Å, intensity 37.2
- d = 2.057 Å, intensity 36.3
- d = 1.751 Å, intensity 6.4
- d = 1.687 Å, intensity 19.1
- d = 1.474 Å, intensity 11.7
- d = 1.333 Å, intensity 15.5
- d = 1.304 Å, intensity 16.2
- d = 1.198 Å, intensity 11.9

Structural model:
Unit cell a=7.3951 b=7.3951 c=7.3951 alpha=32.30 beta=32.30 gamma=32.30
Element x y z (fractional)
La1 0.0000 0.0000 0.0000
Er1 0.5000 0.5000 0.5000
Se1 0.2419 0.2419 0.2419
Se2 0.7581 0.7581 0.7581